This entry pairs a crystal structure of CrI3 with its simulated X-ray powder pattern. Radiation: Cu Ka. Structure: DFT lattice parameters and positions (PBE).

Crystal structure
```
CrI3
1.0
7.0025 0.0000 0.0000
-3.5013 6.0643 0.0000
0.0000 0.0000 22.2973
Cr I
6 18
Direct
0.2206 0.1103 0.0000
0.2230 0.4460 0.6667
0.2230 0.7770 0.3333
0.5540 0.7770 0.0000
0.8897 0.1103 0.3333
0.8897 0.7794 0.6667
0.1969 0.0842 0.2633
0.1969 0.1127 0.7367
0.1966 0.4436 0.4035
0.1966 0.7530 0.5965
0.2470 0.4436 0.9299
0.2470 0.8034 0.0701
0.5278 0.0841 0.9298
0.5278 0.4437 0.0702
0.5563 0.0841 0.4035
0.5563 0.4722 0.5965
0.5564 0.7530 0.7368
0.5564 0.8034 0.2632
0.8873 0.0842 0.0701
0.8873 0.8031 0.9299
0.9158 0.1127 0.5966
0.9159 0.4437 0.2631
0.9159 0.4722 0.7369
0.9158 0.8031 0.4034
```

Peak list (10 most intense, 10 to 90 degrees two-theta, low angle first)
hkl 0 0 3, 2θ 11.91, rel. 415; hkl 0 0 6, 2θ 23.95, rel. 284; hkl 2 -1 2, 2θ 26.69, rel. 802; hkl 1 1 4, 2θ 30.14, rel. 1000; hkl 1 1 7, 2θ 38.20, rel. 212; hkl 2 -1 8, 2θ 41.41, rel. 303; hkl 3 0 0, 2θ 44.84, rel. 327; hkl 3 0 6, 2θ 51.46, rel. 176; hkl 2 -1 11, 2θ 52.14, rel. 152; hkl 4 -2 4, 2θ 54.98, rel. 153